Theoretical X-ray diffraction stick pattern of BaLa4Mn5O15 for copper Kα, from a structure optimized by DFT (GGA+U).
Lines closer than 0.1° are merged.

Main lines, in order of rising 2θ (10 to 90 degrees two-theta):
2θ/deg	I/Imax
22.48	15
32.00	100
39.44	15
39.50	5
45.88	33
51.66	6
56.93	9
57.06	29
66.83	9
66.97	10
76.04	8
76.14	8

Crystal structure
Cell: 16.7712 5.5899 6.8644 Å, 90.00 105.88 90.00°
Space group C2/m (No. 12)
Unique sites:
Ba (0.0000, 0.0000, 0.0000) x2
La (0.0980, 0.5000, 0.4145) x4
La (0.2021, 0.0000, 0.7954) x4
Mn (0.0000, 0.0000, 0.5000) x2
Mn (0.1003, 0.5000, 0.8995) x4
Mn (0.2018, 0.0000, 0.2994) x4
O (0.0000, 0.5000, 0.0000) x2
O (0.0491, 0.2586, 0.6888) x8
O (0.1042, 0.0000, 0.4097) x4
O (0.1619, 0.2533, 0.0929) x8
O (0.1925, 0.5000, 0.7710) x4
O (0.2500, 0.2500, 0.5000) x4